1.
This entry pairs a crystal structure of Tb2CdOsO8 with its calculated PXRD pattern. Radiation: Cu Kα. Structure: a crystal structure in Alexandria, relaxed with PBE.
Peak positions follow from Bragg's law for the DFT cell and can differ from measured ones.

Crystal structure
a = 4.9402 Å, b = 4.9402 Å, c = 7.1080 Å
α = 90.00°, β = 90.00°, γ = 92.28°
Atoms (fractional coordinates):
Tb 0.0000 0.0000 0.2437
Tb 0.0000 0.0000 0.7563
Cd 0.5000 0.5000 0.0000
Os 0.5000 0.5000 0.5000
O 0.1972 0.1972 0.0000
O 0.2238 0.2238 0.5000
O 0.3171 0.6829 0.3114
O 0.3171 0.6829 0.6886
O 0.6829 0.3171 0.3114
O 0.6829 0.3171 0.6886
O 0.7762 0.7762 0.5000
O 0.8028 0.8028 0.0000

Most intense lines, 2θ = 10–90°, by angle:
2theta	I (rel.)
25.00	53.0
26.03	45.8
31.01	100.0
36.40	27.2
47.95	36.8
49.14	33.7
62.17	19.2
75.60	12.3

***

2.
This entry pairs a crystal structure of K3TbTm3Se8 with its calculated PXRD pattern. Radiation: Cu Kα. Structure: a crystal structure in Alexandria, relaxed with PBE.
Peak positions follow from Bragg's law for the DFT cell and can differ from measured ones.

Crystal structure
a = 9.1720 Å, b = 9.1720 Å, c = 9.1720 Å
α = 53.26°, β = 53.26°, γ = 53.26°
Atoms (fractional coordinates):
K 0.0000 0.5000 0.5000
K 0.5000 0.0000 0.5000
K 0.5000 0.5000 0.0000
Tb 0.5000 0.5000 0.5000
Tm 0.0000 0.0000 0.5000
Tm 0.0000 0.5000 0.0000
Tm 0.5000 0.0000 0.0000
Se 0.2287 0.7367 0.7367
Se 0.2342 0.2342 0.2342
Se 0.2633 0.2633 0.7713
Se 0.2633 0.7713 0.2633
Se 0.7367 0.2287 0.7367
Se 0.7367 0.7367 0.2287
Se 0.7658 0.7658 0.7658
Se 0.7713 0.2633 0.2633

Most intense lines, 2θ = 10–90°, by angle:
2theta	I (rel.)
11.27	83.4
25.30	16.8
29.32	100.0
36.76	26.3
39.74	35.0
44.05	34.7
45.62	17.1
53.80	17.8

***

3.
This entry pairs a crystal structure of Ce2PrNpAs4 with its calculated PXRD pattern. Radiation: Cu Kα. Structure: a crystal structure in Alexandria, relaxed with PBE.
Peak positions follow from Bragg's law for the DFT cell and can differ from measured ones.

Crystal structure
a = 7.2824 Å, b = 4.2130 Å, c = 7.3110 Å
α = 90.00°, β = 109.46°, γ = 90.00°
Atoms (fractional coordinates):
Ce 0.0000 0.0000 0.0000
Ce 0.0000 0.5000 0.5000
Pr 0.5000 0.0000 0.5000
Np 0.5000 0.5000 0.0000
As 0.2468 0.5000 0.2419
As 0.2526 0.0000 0.7574
As 0.7474 0.0000 0.2426
As 0.7532 0.5000 0.7581

Most intense lines, 2θ = 10–90°, by angle:
2theta	I (rel.)
25.88	18.0
30.00	100.0
42.90	50.2
43.00	25.0
53.26	13.3
62.34	12.4
70.66	22.7
78.68	12.8

***

4.
This entry pairs a crystal structure of Cs2VWCl6 with its calculated PXRD pattern. Radiation: Cu Kα. Structure: a crystal structure in Alexandria, relaxed with PBE.
Peak positions follow from Bragg's law for the DFT cell and can differ from measured ones.

Crystal structure
a = 7.2964 Å, b = 7.2964 Å, c = 7.2964 Å
α = 120.09°, β = 120.09°, γ = 89.84°
Atoms (fractional coordinates):
Cs 0.2500 0.7500 0.5000
Cs 0.7500 0.2500 0.5000
V 0.0000 0.0000 0.0000
W 0.5000 0.5000 0.0000
Cl 0.2540 0.2540 0.0000
Cl 0.2545 0.2545 0.5090
Cl 0.2545 0.7455 0.0000
Cl 0.7455 0.2545 0.0000
Cl 0.7460 0.7460 0.0000
Cl 0.7455 0.7455 0.4910

Most intense lines, 2θ = 10–90°, by angle:
2theta	I (rel.)
14.88	21.3
24.41	100.0
30.01	14.0
34.79	57.0
42.96	45.2
50.03	38.5
56.47	13.7
67.99	15.8

***

5.
This entry pairs a crystal structure of SiTcIrAu2C with its calculated PXRD pattern. Radiation: Cu Kα. Structure: a crystal structure in Alexandria, relaxed with PBE.
Peak positions follow from Bragg's law for the DFT cell and can differ from measured ones.

Crystal structure
a = 5.3971 Å, b = 5.3971 Å, c = 6.7366 Å
α = 112.64°, β = 112.64°, γ = 31.01°
Atoms (fractional coordinates):
Si 0.0000 0.0000 0.0000
Tc 0.6384 0.6384 0.3067
Ir 0.7614 0.7614 0.7620
Au 0.3193 0.3193 0.1651
Au 0.9808 0.9808 0.6069
C 0.1762 0.1762 0.5391

Most intense lines, 2θ = 10–90°, by angle:
2theta	I (rel.)
28.91	65.0
33.99	92.8
34.49	100.0
37.17	93.7
40.18	66.7
40.66	57.7
42.31	60.5
44.63	56.8

***

6.
This entry pairs a crystal structure of ErHf4Sc8 with its calculated PXRD pattern. Radiation: Cu Kα. Structure: a crystal structure in Alexandria, relaxed with PBE.
Peak positions follow from Bragg's law for the DFT cell and can differ from measured ones.

Crystal structure
a = 6.2269 Å, b = 6.2269 Å, c = 9.8119 Å
α = 90.12°, β = 90.12°, γ = 60.16°
Atoms (fractional coordinates):
Er 0.0000 0.0000 0.0000
Hf 0.0000 0.0000 0.5000
Hf 0.0000 0.5000 0.5000
Hf 0.5000 0.0000 0.5000
Hf 0.5000 0.5000 0.5000
Sc 0.1688 0.1688 0.2418
Sc 0.1686 0.6626 0.2416
Sc 0.3342 0.3342 0.9171
Sc 0.3374 0.8314 0.7584
Sc 0.6626 0.1686 0.2416
Sc 0.6658 0.6658 0.0829
Sc 0.8314 0.3374 0.7584
Sc 0.8312 0.8312 0.7582

Most intense lines, 2θ = 10–90°, by angle:
2theta	I (rel.)
18.08	55.0
33.20	44.0
34.47	67.0
36.63	28.1
38.04	100.0
38.15	24.3
50.24	28.3
66.88	21.3